# CePrHo2S4
Simulated X-ray diffraction stick pattern, CuKα. Input: a cell relaxed with PBE.
Intensities are scaled so that the largest is 100.

Peak list (8 most intense, 10 to 80 degrees two-theta, low angle first)
d 3.304, intensity 20.7
d 3.227, intensity 57.9
d 2.811, intensity 100.0
d 2.008, intensity 12.3
d 2.004, intensity 24.4
d 1.972, intensity 23.6
d 1.693, intensity 12.9
d 1.612, intensity 12.2

Cell and atoms:
```
CePrHo2S4
1.0
6.8376 0.0000 0.0000
0.0000 3.9341 0.0000
-2.2677 0.0000 6.6080
Ce Pr Ho S
1 1 2 4
direct
0.0000 0.0000 0.0000 Ce
0.5000 0.5000 0.0000 Pr
0.0000 0.5000 0.5000 Ho
0.5000 0.0000 0.5000 Ho
0.2411 0.0000 0.7320 S
0.2529 0.5000 0.2660 S
0.7471 0.5000 0.7340 S
0.7589 0.0000 0.2680 S
```


# Ce2Pr3HoSe6
Simulated X-ray diffraction stick pattern, CuKα. Input: a cell relaxed with PBE.
Intensities are scaled so that the largest is 100.

Peak list (8 most intense, 10 to 80 degrees two-theta, low angle first)
d 3.433, intensity 11.9
d 2.977, intensity 100.0
d 2.109, intensity 37.2
d 2.101, intensity 37.1
d 1.717, intensity 13.1
d 1.488, intensity 12.1
d 1.334, intensity 11.1
d 1.329, intensity 16.6

Cell and atoms:
```
Ce2Pr3HoSe6
1.0
3.6364 -6.3071 0.0000
3.6364 6.3071 0.0000
-2.4365 0.0000 6.9010
Ce Pr Ho Se
2 3 1 6
direct
0.1660 0.8340 0.0000 Ce
0.8340 0.1660 0.0000 Ce
0.0000 0.0000 0.5000 Pr
0.3315 0.6685 0.5000 Pr
0.6685 0.3315 0.5000 Pr
0.5000 0.5000 0.0000 Ho
0.0939 0.4207 0.7608 Se
0.2545 0.2545 0.2418 Se
0.4207 0.0939 0.7608 Se
0.5793 0.9061 0.2392 Se
0.7455 0.7455 0.7582 Se
0.9061 0.5793 0.2392 Se
```


# TbCePr6Ho2
Simulated X-ray diffraction stick pattern, CuKα. Input: a cell relaxed with PBE.
Intensities are scaled so that the largest is 100.

Peak list (8 most intense, 10 to 80 degrees two-theta, low angle first)
d 3.329, intensity 40.4
d 2.994, intensity 53.7
d 2.942, intensity 100.0
d 2.897, intensity 72.9
d 2.874, intensity 49.6
d 2.756, intensity 59.5
d 2.739, intensity 45.1
d 2.731, intensity 40.1

Cell and atoms:
```
TbCePr6Ho2
1.0
5.6489 -3.5673 0.0000
5.6489 3.5673 0.0000
-1.9809 0.0000 8.6847
Tb Ce Pr Ho
1 1 6 2
direct
0.0000 0.0000 0.0000 Tb
0.5000 0.5000 0.5000 Ce
0.0632 0.5968 0.7034 Pr
0.3710 0.3710 0.0808 Pr
0.4032 0.9368 0.2966 Pr
0.5968 0.0632 0.7034 Pr
0.6290 0.6290 0.9192 Pr
0.9368 0.4032 0.2966 Pr
0.0930 0.0930 0.6606 Ho
0.9070 0.9070 0.3394 Ho
```


# Ce2Ho2Rh15
Simulated X-ray diffraction stick pattern, CuKα. Input: a cell relaxed with PBE.
Intensities are scaled so that the largest is 100.

Peak list (8 most intense, 10 to 80 degrees two-theta, low angle first)
d 2.626, intensity 33.1
d 2.569, intensity 24.6
d 2.272, intensity 100.0
d 2.259, intensity 20.2
d 2.236, intensity 24.8
d 2.032, intensity 50.6
d 1.313, intensity 19.7
d 1.306, intensity 20.0

Cell and atoms:
```
Ce2Ho2Rh15
1.0
4.5491 2.6264 4.5171
-4.5491 2.6264 4.5171
0.0000 -5.2528 4.5171
Ce Ho Rh
2 2 15
direct
0.1408 0.1408 0.1408 Ce
0.8592 0.8592 0.8592 Ce
0.3915 0.3915 0.3915 Ho
0.6085 0.6085 0.6085 Ho
0.0000 0.5000 0.5000 Rh
0.1511 0.1511 0.6641 Rh
0.1511 0.6641 0.1511 Rh
0.1869 0.5000 0.8131 Rh
0.1869 0.8131 0.5000 Rh
0.3359 0.8489 0.8489 Rh
0.5000 0.0000 0.5000 Rh
0.5000 0.1869 0.8131 Rh
0.5000 0.5000 0.0000 Rh
0.5000 0.8131 0.1869 Rh
0.6641 0.1511 0.1511 Rh
0.8131 0.1869 0.5000 Rh
0.8131 0.5000 0.1869 Rh
0.8489 0.3359 0.8489 Rh
0.8489 0.8489 0.3359 Rh
```


# CeHo5Rh4
Simulated X-ray diffraction stick pattern, CuKα. Input: a cell relaxed with PBE.
Intensities are scaled so that the largest is 100.

Peak list (8 most intense, 10 to 80 degrees two-theta, low angle first)
d 3.301, intensity 40.1
d 2.771, intensity 63.9
d 2.716, intensity 100.0
d 2.121, intensity 64.8
d 2.055, intensity 32.1
d 1.854, intensity 18.5
d 1.799, intensity 20.7
d 1.650, intensity 27.3

Cell and atoms:
```
CeHo5Rh4
1.0
9.1036 -2.0544 0.0000
9.1036 2.0544 0.0000
-3.0137 0.0000 6.7749
Ce Ho Rh
1 5 4
direct
0.0000 0.0000 0.0000 Ce
0.0000 0.0000 0.5000 Ho
0.3345 0.3345 0.5893 Ho
0.3346 0.3346 0.0804 Ho
0.6654 0.6654 0.9196 Ho
0.6655 0.6655 0.4107 Ho
0.2007 0.2007 0.2004 Rh
0.5001 0.5001 0.2474 Rh
0.4999 0.4999 0.7526 Rh
0.7993 0.7993 0.7996 Rh
```


# Ce2Ho2Rh3
Simulated X-ray diffraction stick pattern, CuKα. Input: a cell relaxed with PBE.
Intensities are scaled so that the largest is 100.

Peak list (8 most intense, 10 to 80 degrees two-theta, low angle first)
d 6.969, intensity 17.6
d 3.509, intensity 24.3
d 2.765, intensity 100.0
d 2.675, intensity 32.0
d 2.324, intensity 50.8
d 2.112, intensity 43.6
d 2.035, intensity 17.4
d 1.754, intensity 18.2

Cell and atoms:
```
Ce2Ho2Rh3
1.0
10.8098 0.0000 0.0000
0.0000 4.6474 0.0000
-1.4256 0.0000 6.9692
Ce Ho Rh
4 4 6
direct
0.1271 0.0000 0.3612 Ce
0.3729 0.5000 0.6388 Ce
0.6271 0.5000 0.3612 Ce
0.8729 0.0000 0.6388 Ce
0.1372 0.5000 0.9199 Ho
0.3628 0.0000 0.0801 Ho
0.6372 0.0000 0.9199 Ho
0.8628 0.5000 0.0801 Ho
0.0000 0.0000 0.0000 Rh
0.1886 0.0000 0.7137 Rh
0.3114 0.5000 0.2863 Rh
0.5000 0.5000 0.0000 Rh
0.6886 0.5000 0.7137 Rh
0.8114 0.0000 0.2863 Rh
```


# Ce3Ho2Rh2
Simulated X-ray diffraction stick pattern, CuKα. Input: a cell relaxed with PBE.
Intensities are scaled so that the largest is 100.

Peak list (8 most intense, 10 to 80 degrees two-theta, low angle first)
d 2.942, intensity 41.8
d 2.859, intensity 60.8
d 2.751, intensity 100.0
d 2.603, intensity 56.5
d 2.586, intensity 39.7
d 2.516, intensity 58.5
d 2.260, intensity 35.6
d 2.016, intensity 42.0

Cell and atoms:
```
Ce3Ho2Rh2
1.0
11.2929 0.0000 0.0000
0.0000 4.0322 0.0000
-3.6470 0.0000 7.8048
Ce Ho Rh
6 4 4
direct
0.0000 0.0000 0.0000 Ce
0.1574 0.0000 0.4598 Ce
0.3426 0.5000 0.5402 Ce
0.5000 0.5000 0.0000 Ce
0.6574 0.5000 0.4598 Ce
0.8426 0.0000 0.5402 Ce
0.1512 0.5000 0.8030 Ho
0.3488 0.0000 0.1970 Ho
0.6512 0.0000 0.8030 Ho
0.8488 0.5000 0.1970 Ho
0.1584 0.5000 0.1754 Rh
0.3416 0.0000 0.8246 Rh
0.6584 0.0000 0.1754 Rh
0.8416 0.5000 0.8246 Rh
```


# Ce2HoRu2
Simulated X-ray diffraction stick pattern, CuKα. Input: a cell relaxed with PBE.
Intensities are scaled so that the largest is 100.

Peak list (8 most intense, 10 to 80 degrees two-theta, low angle first)
d 3.266, intensity 42.9
d 2.868, intensity 38.5
d 2.826, intensity 37.3
d 2.782, intensity 34.8
d 2.761, intensity 62.9
d 2.674, intensity 28.8
d 2.614, intensity 68.7
d 2.287, intensity 100.0

Cell and atoms:
```
Ce2HoRu2
1.0
4.7037 0.0000 0.0000
-1.5763 6.2196 0.0000
-0.8061 -1.0486 8.0235
Ce Ho Ru
4 2 4
direct
0.0295 0.3946 0.1864 Ce
0.2260 0.2823 0.5862 Ce
0.7740 0.7177 0.4138 Ce
0.9705 0.6054 0.8136 Ce
0.3215 0.9622 0.1722 Ho
0.6785 0.0378 0.8278 Ho
0.2967 0.3126 0.9601 Ru
0.2992 0.7916 0.5081 Ru
0.7008 0.2084 0.4919 Ru
0.7033 0.6874 0.0399 Ru
```


What did the first record say?
# CePrHo2S4
Simulated X-ray diffraction stick pattern, CuKα. Input: a cell relaxed with PBE.
Intensities are scaled so that the largest is 100.

Peak list (8 most intense, 10 to 80 degrees two-theta, low angle first)
d 3.304, intensity 20.7
d 3.227, intensity 57.9
d 2.811, intensity 100.0
d 2.008, intensity 12.3
d 2.004, intensity 24.4
d 1.972, intensity 23.6
d 1.693, intensity 12.9
d 1.612, intensity 12.2

Cell and atoms:
```
CePrHo2S4
1.0
6.8376 0.0000 0.0000
0.0000 3.9341 0.0000
-2.2677 0.0000 6.6080
Ce Pr Ho S
1 1 2 4
direct
0.0000 0.0000 0.0000 Ce
0.5000 0.5000 0.0000 Pr
0.0000 0.5000 0.5000 Ho
0.5000 0.0000 0.5000 Ho
0.2411 0.0000 0.7320 S
0.2529 0.5000 0.2660 S
0.7471 0.5000 0.7340 S
0.7589 0.0000 0.2680 S
```